Entry 1:
The following is a simulated powder X-ray diffraction pattern of Al4Si3. It was derived from a PBE-relaxed structure, using CuKα.
Neutral-atom scattering factors, no anomalous dispersion.

Crystal structure
```
data_Al4Si3
_cell_length_a 4.9126
_cell_length_b 4.9126
_cell_length_c 5.2838
_cell_angle_alpha 90.00
_cell_angle_beta 90.00
_cell_angle_gamma 120.00
_space_group_name_H-M_alt 'P 6/m m m'
_space_group_IT_number 191
_space_group_name_Hall '-P 6 2'
loop_
_atom_site_label
_atom_site_type_symbol
_atom_site_fract_x
_atom_site_fract_y
_atom_site_fract_z
Al1 Al 0.0000 0.0000 0.2387
Al2 Al 0.3333 0.6667 0.0000
Si1 Si 0.0000 0.5000 0.5000
```

Main lines, by angle (10° ≤ 2θ ≤ 90°):
2θ (°)  intensity  h k l
16.78  13  0 0 1
33.93  17  0 0 2
36.58  35  1 1 0
40.18  100  1 0 2
40.50  61  1 1 1
42.50  45  2 0 0
45.99  66  2 0 1
68.28  41  2 1 2
69.26  25  2 0 3
77.76  22  2 2 0

Entry 2:
The following is a simulated powder X-ray diffraction pattern of AlSi23. It was derived from a PBE-relaxed structure, using CuKα.
Neutral-atom scattering factors, no anomalous dispersion.

Crystal structure
```
data_AlSi23
_cell_length_a 10.217
_cell_length_b 10.217
_cell_length_c 10.217
_cell_angle_alpha 90.00
_cell_angle_beta 90.00
_cell_angle_gamma 90.00
_space_group_name_H-M_alt 'P m -3 n'
_space_group_IT_number 223
_space_group_name_Hall '-P 4n 2 3'
loop_
_atom_site_label
_atom_site_type_symbol
_atom_site_fract_x
_atom_site_fract_y
_atom_site_fract_z
Al1 Al 0.000 0.000 0.000
Si1 Si 0.000 0.117 0.308
Si2 Si 0.000 0.250 0.500
Si3 Si 0.183 0.183 0.183
```

Main lines, by angle (10° ≤ 2θ ≤ 90°):
2θ (°)  intensity  h k l
12.25  31  1 1 0
19.43  83  2 1 0
21.30  30  2 1 1
32.80  100  3 2 1
36.25  28  4 1 0
40.46  26  4 2 1
52.20  57  5 3 0
53.02  24  5 3 1
53.84  23  6 0 0
55.44  48  5 3 2

Entry 3:
The following is a simulated powder X-ray diffraction pattern of Al5Si. It was derived from a PBE-relaxed structure, using CuKα.
Neutral-atom scattering factors, no anomalous dispersion.

Crystal structure
```
data_Al5Si
_cell_length_a 10.505
_cell_length_b 2.862
_cell_length_c 6.723
_cell_angle_alpha 90.00
_cell_angle_beta 105.72
_cell_angle_gamma 90.00
_space_group_name_H-M_alt 'C 1 m 1'
_space_group_IT_number 8
_space_group_name_Hall 'C -2y'
loop_
_atom_site_label
_atom_site_type_symbol
_atom_site_fract_x
_atom_site_fract_y
_atom_site_fract_z
Al1 Al 0.000 0.000 0.000
Al2 Al 0.052 0.000 0.613
Al3 Al 0.165 0.500 0.338
Al4 Al 0.223 0.500 0.943
Al5 Al 0.387 0.000 0.280
Si1 Si 0.331 0.000 0.667
```

Main lines, by angle (10° ≤ 2θ ≤ 90°):
2θ (°)  intensity  h k l
36.39  48  1 1 1
36.81  24  2 0 2
38.81  80  4 0 -2
41.39  100  3 1 0
41.46  99  1 1 -2
41.73  48  4 0 1
41.88  48  0 0 3
66.03  33  3 1 3
72.13  28  5 1 -4
78.54  20  4 2 -2

Entry 4:
The following is a simulated powder X-ray diffraction pattern of Sm6AlSi2. It was derived from a PBE-relaxed structure, using CuKα.
Neutral-atom scattering factors, no anomalous dispersion.

Crystal structure
```
data_Sm6AlSi2
_cell_length_a 9.679
_cell_length_b 9.932
_cell_length_c 10.344
_cell_angle_alpha 90.00
_cell_angle_beta 90.00
_cell_angle_gamma 90.00
_space_group_name_H-M_alt 'I m m m'
_space_group_IT_number 71
_space_group_name_Hall '-I 2 2'
loop_
_atom_site_label
_atom_site_type_symbol
_atom_site_fract_x
_atom_site_fract_y
_atom_site_fract_z
Sm1 Sm 0.000 0.201 0.243
Sm2 Sm 0.208 0.500 0.178
Sm3 Sm 0.229 0.318 0.500
Al1 Al 0.000 0.000 0.000
Al2 Al 0.000 0.000 0.500
Si1 Si 0.000 0.371 0.000
Si2 Si 0.000 0.500 0.386
```

Main lines, by angle (10° ≤ 2θ ≤ 90°):
2θ (°)  intensity  h k l
25.20  30  2 0 2
27.39  27  0 1 3
28.30  25  0 3 1
31.06  100  2 2 2
33.15  39  2 1 3
33.44  29  1 3 2
33.94  43  2 3 1
37.15  27  4 0 0
39.28  18  0 2 4
56.72  27  2 0 6

Entry 5:
The following is a simulated powder X-ray diffraction pattern of Sm12AlSi5. It was derived from a PBE-relaxed structure, using CuKα.
Neutral-atom scattering factors, no anomalous dispersion.

Crystal structure
```
data_Sm12AlSi5
_cell_length_a 9.669
_cell_length_b 9.839
_cell_length_c 10.352
_cell_angle_alpha 90.00
_cell_angle_beta 90.00
_cell_angle_gamma 90.00
_space_group_name_H-M_alt 'I m m m'
_space_group_IT_number 71
_space_group_name_Hall '-I 2 2'
loop_
_atom_site_label
_atom_site_type_symbol
_atom_site_fract_x
_atom_site_fract_y
_atom_site_fract_z
Sm1 Sm 0.000 0.198 0.238
Sm2 Sm 0.207 0.500 0.178
Sm3 Sm 0.230 0.320 0.500
Al1 Al 0.000 0.000 0.500
Si1 Si 0.000 0.000 0.000
Si2 Si 0.000 0.374 0.000
Si3 Si 0.000 0.500 0.385
```

Main lines, by angle (10° ≤ 2θ ≤ 90°):
2θ (°)  intensity  h k l
25.21  31  2 0 2
27.40  28  0 1 3
28.55  27  0 3 1
29.16  18  3 1 0
31.17  100  2 2 2
33.17  43  2 1 3
33.65  31  1 3 2
34.15  37  2 3 1
37.19  29  4 0 0
58.18  19  5 3 2

Entry 6:
The following is a simulated powder X-ray diffraction pattern of Sr2AlSi2. It was derived from a PBE-relaxed structure, using CuKα.
Neutral-atom scattering factors, no anomalous dispersion.

Crystal structure
```
data_Sr2AlSi2
_cell_length_a 11.879
_cell_length_b 4.469
_cell_length_c 10.895
_cell_angle_alpha 90.00
_cell_angle_beta 114.73
_cell_angle_gamma 90.00
_space_group_name_H-M_alt 'C 1 2/m 1'
_space_group_IT_number 12
_space_group_name_Hall '-C 2y'
loop_
_atom_site_label
_atom_site_type_symbol
_atom_site_fract_x
_atom_site_fract_y
_atom_site_fract_z
Sr1 Sr 0.111 0.000 0.411
Sr2 Sr 0.219 0.500 0.155
Al1 Al 0.053 0.500 0.813
Si1 Si 0.039 0.000 0.917
Si2 Si 0.099 0.500 0.609
```

Main lines, by angle (10° ≤ 2θ ≤ 90°):
2θ (°)  intensity  h k l
25.07  22  2 0 -3
25.80  19  1 1 -2
30.19  71  3 1 -1
30.35  100  1 1 2
38.07  23  4 0 1
39.99  28  3 1 -4
40.36  26  0 2 0
46.76  15  3 1 -5
51.38  16  4 2 -2
58.23  15  7 1 -3